Structure and simulated powder diffractogram of Nd6Y2Ho5 (a DFT-relaxed cell (PBE, Alexandria); CuKα).
Lines closer than 0.1° are merged.

Main lines, in order of rising 2θ (2θ from 5° to 70°):
2θ/deg	intensity	h k l
30.17	23.6	0 4 1
30.74	50.6	4 1 0
31.10	50.0	1 4 1
31.36	65.8	1 7 0
31.78	100.0	2 3 1
33.86	34.3	2 4 1
34.77	25.0	3 6 0
36.19	25.7	3 3 1
50.29	22.1	0 0 2
60.48	22.5	1 7 2

Structure:
a b c (Å): 11.7519 20.5853 3.6286
angles (deg): 90.00 90.00 90.00
Sites, in units of the cell vectors:
Nd1 0.0594 0.0798 0.0000
Nd2 0.0825 0.3665 0.0000
Nd3 0.1733 0.6329 0.5000
Nd4 0.3267 0.1329 0.5000
Nd5 0.4175 0.8665 0.0000
Nd6 0.4406 0.5798 0.0000
Nd7 0.5594 0.4202 0.0000
Nd8 0.5825 0.1335 0.0000
Nd9 0.6733 0.8671 0.5000
Nd10 0.8267 0.3671 0.5000
Nd11 0.9175 0.6335 0.0000
Nd12 0.9406 0.9202 0.0000
Y1 0.1644 0.7889 0.0000
Y2 0.3356 0.2889 0.0000
Y3 0.6644 0.7111 0.0000
Y4 0.8356 0.2111 0.0000
Ho1 0.0000 0.5000 0.5000
Ho2 0.0950 0.2255 0.5000
Ho3 0.1990 0.9445 0.5000
Ho4 0.3010 0.4445 0.5000
Ho5 0.4050 0.7255 0.5000
Ho6 0.5000 0.0000 0.5000
Ho7 0.5950 0.2745 0.5000
Ho8 0.6990 0.5555 0.5000
Ho9 0.8010 0.0555 0.5000
Ho10 0.9050 0.7745 0.5000